Record 1
Theoretical PXRD pattern
Compound: Tb2Nd2SiRh4
Radiation: Cu Kα
Structure: the GGA-PBE geometry in Alexandria
Peak positions follow from Bragg's law for the DFT cell and can differ from measured ones.

Structure:
```
Tb2Nd2SiRh4
1.0
-3.300 3.300 4.427
3.300 -3.300 4.427
3.300 3.300 -4.427
Tb Nd Si Rh
2 2 1 4
Direct
0.182 0.182 0.000
0.818 0.818 0.000
0.250 0.750 0.500
0.750 0.250 0.500
0.500 0.500 0.000
0.250 0.250 0.499
0.250 0.750 0.000
0.750 0.250 0.000
0.750 0.750 0.501
```

Largest 8 diffraction maxima, by angle, 10° ≤ 2θ ≤ 90°:
2θ 33.3, rel. 142
2θ 33.9, rel. 1000
2θ 38.6, rel. 490
2θ 43.4, rel. 141
2θ 55.7, rel. 167
2θ 57.4, rel. 134
2θ 66.8, rel. 274
2θ 79.5, rel. 107

---

Record 2
Theoretical PXRD pattern
Compound: Tb16Pr7Dy6
Radiation: Cu Kα
Structure: the GGA-PBE geometry in Alexandria
Peak positions follow from Bragg's law for the DFT cell and can differ from measured ones.

Structure:
```
Tb16Pr7Dy6
1.0
0.000 7.971 7.971
7.971 0.000 7.971
7.971 7.971 0.000
Tb Pr Dy
16 7 6
Direct
0.049 0.650 0.650
0.128 0.128 0.128
0.128 0.128 0.616
0.128 0.616 0.128
0.350 0.350 0.350
0.350 0.350 0.951
0.350 0.951 0.350
0.384 0.872 0.872
0.616 0.128 0.128
0.650 0.049 0.650
0.650 0.650 0.049
0.650 0.650 0.650
0.872 0.384 0.872
0.872 0.872 0.384
0.872 0.872 0.872
0.951 0.350 0.350
0.000 0.000 0.000
0.000 0.000 0.500
0.000 0.500 0.000
0.000 0.500 0.500
0.500 0.000 0.000
0.500 0.000 0.500
0.500 0.500 0.000
0.260 0.260 0.740
0.260 0.740 0.260
0.260 0.740 0.740
0.740 0.260 0.260
0.740 0.260 0.740
0.740 0.740 0.260
```

Largest 8 diffraction maxima, by angle, 10° ≤ 2θ ≤ 90°:
2θ 25.0, rel. 67
2θ 27.4, rel. 59
2θ 29.1, rel. 66
2θ 31.8, rel. 1000
2θ 45.5, rel. 144
2θ 56.6, rel. 276
2θ 66.3, rel. 77
2θ 75.4, rel. 77

---

Record 3
Theoretical PXRD pattern
Compound: SrCeSi4
Radiation: Cu Kα
Structure: the GGA-PBE geometry in Alexandria
Peak positions follow from Bragg's law for the DFT cell and can differ from measured ones.

Structure:
```
SrCeSi4
1.0
7.620 0.000 0.000
0.000 16.177 0.000
0.000 0.000 4.446
Sr Ce Si
4 4 16
Direct
0.127 0.160 0.000
0.373 0.660 0.000
0.627 0.340 0.000
0.873 0.840 0.000
0.131 0.413 0.000
0.369 0.913 0.000
0.631 0.087 0.000
0.869 0.587 0.000
0.027 0.690 0.500
0.116 0.949 0.500
0.131 0.543 0.500
0.215 0.806 0.500
0.285 0.306 0.500
0.369 0.043 0.500
0.384 0.449 0.500
0.473 0.190 0.500
0.527 0.810 0.500
0.616 0.551 0.500
0.631 0.957 0.500
0.715 0.694 0.500
0.785 0.194 0.500
0.869 0.457 0.500
0.884 0.051 0.500
0.973 0.310 0.500
```

Largest 8 diffraction maxima, by angle, 10° ≤ 2θ ≤ 90°:
2θ 12.8, rel. 376
2θ 24.0, rel. 342
2θ 29.9, rel. 453
2θ 31.4, rel. 1000
2θ 32.1, rel. 682
2θ 35.2, rel. 733
2θ 36.3, rel. 344
2θ 40.6, rel. 425

---

Record 4
Theoretical PXRD pattern
Compound: CaScCd6
Radiation: Cu Kα
Structure: the GGA-PBE geometry in Alexandria
Peak positions follow from Bragg's law for the DFT cell and can differ from measured ones.

Structure:
```
CaScCd6
1.0
6.539 0.000 0.000
-3.270 5.663 0.000
0.000 0.000 4.981
Ca Sc Cd
1 1 6
Direct
0.000 0.000 0.000
0.333 0.667 0.500
0.004 0.502 0.000
0.346 0.173 0.500
0.498 0.502 0.000
0.498 0.996 0.000
0.827 0.173 0.500
0.827 0.654 0.500
```

Largest 8 diffraction maxima, by angle, 10° ≤ 2θ ≤ 90°:
2θ 31.6, rel. 248
2θ 36.1, rel. 231
2θ 36.5, rel. 1000
2θ 48.7, rel. 142
2θ 56.3, rel. 177
2θ 65.1, rel. 169
2θ 68.7, rel. 189
2θ 69.0, rel. 139

---

Record 5
Theoretical PXRD pattern
Compound: LaNb2P
Radiation: Cu Kα
Structure: the GGA-PBE geometry in Alexandria
Peak positions follow from Bragg's law for the DFT cell and can differ from measured ones.

Structure:
```
LaNb2P
1.0
-3.965 3.965 2.818
3.965 -3.965 2.818
3.965 3.965 -2.818
La Nb P
2 4 2
Direct
0.000 0.000 0.000
0.750 0.250 0.500
0.212 0.125 0.587
0.375 0.788 0.913
0.538 0.625 0.413
0.875 0.462 0.087
0.250 0.750 0.500
0.500 0.500 0.000
```

Largest 8 diffraction maxima, by angle, 10° ≤ 2θ ≤ 90°:
2θ 29.8, rel. 1000
2θ 31.9, rel. 606
2θ 35.7, rel. 746
2θ 37.6, rel. 343
2θ 48.6, rel. 375
2θ 59.4, rel. 171
2θ 60.7, rel. 206
2θ 71.0, rel. 165

---

Record 6
Theoretical PXRD pattern
Compound: Sc4Re3
Radiation: Cu Kα
Structure: the GGA-PBE geometry in Alexandria
Peak positions follow from Bragg's law for the DFT cell and can differ from measured ones.

Structure:
```
Sc4Re3
1.0
-1.560 1.560 14.437
1.560 -1.560 14.437
1.560 1.560 -14.437
Sc Re
4 3
Direct
0.058 0.058 0.000
0.340 0.340 0.000
0.660 0.660 0.000
0.942 0.942 0.000
0.225 0.225 0.000
0.500 0.500 0.000
0.775 0.775 0.000
```

Largest 8 diffraction maxima, by angle, 10° ≤ 2θ ≤ 90°:
2θ 12.3, rel. 1000
2θ 30.1, rel. 126
2θ 36.1, rel. 701
2θ 40.9, rel. 311
2θ 42.9, rel. 197
2θ 45.1, rel. 332
2θ 71.4, rel. 187
2θ 77.5, rel. 135

---

Record 7
Theoretical PXRD pattern
Compound: Pr4SmS5
Radiation: Cu Kα
Structure: the GGA-PBE geometry in Alexandria
Peak positions follow from Bragg's law for the DFT cell and can differ from measured ones.

Structure:
```
Pr4SmS5
1.0
-2.042 2.889 10.229
2.042 -2.889 10.229
2.042 2.889 -10.229
Pr Sm S
4 1 5
Direct
0.100 0.100 0.000
0.301 0.301 0.000
0.699 0.699 0.000
0.900 0.900 0.000
0.500 0.500 0.000
0.000 0.500 0.500
0.200 0.700 0.500
0.403 0.903 0.500
0.597 0.097 0.500
0.800 0.300 0.500
```

Largest 8 diffraction maxima, by angle, 10° ≤ 2θ ≤ 90°:
2θ 26.7, rel. 734
2θ 30.9, rel. 1000
2θ 44.3, rel. 725
2θ 52.5, rel. 367
2θ 55.0, rel. 252
2θ 73.2, rel. 160
2θ 73.3, rel. 160
2θ 81.6, rel. 121

---

Record 8
Theoretical PXRD pattern
Compound: SiTc2Os
Radiation: Cu Kα
Structure: the GGA-PBE geometry in Alexandria
Peak positions follow from Bragg's law for the DFT cell and can differ from measured ones.

Structure:
```
SiTc2Os
1.0
2.777 0.000 0.000
0.000 3.950 0.000
-1.017 0.000 5.109
Si Tc Os
1 2 1
Direct
0.000 0.000 0.000
0.413 0.500 0.238
0.587 0.500 0.762
0.000 0.000 0.500
```

Largest 8 diffraction maxima, by angle, 10° ≤ 2θ ≤ 90°:
2θ 17.4, rel. 529
2θ 28.6, rel. 488
2θ 40.2, rel. 997
2θ 41.3, rel. 387
2θ 42.1, rel. 1000
2θ 43.6, rel. 424
2θ 46.0, rel. 393
2θ 53.8, rel. 254

---

Record 9
Theoretical PXRD pattern
Compound: NdRe2N6
Radiation: Cu Kα
Structure: the GGA-PBE geometry in Alexandria
Peak positions follow from Bragg's law for the DFT cell and can differ from measured ones.

Structure:
```
NdRe2N6
1.0
0.000 5.066 5.066
5.066 0.000 5.066
5.066 5.066 0.000
Nd Re N
2 4 12
Direct
0.125 0.125 0.125
0.875 0.875 0.875
0.000 0.500 0.500
0.500 0.000 0.500
0.500 0.500 0.000
0.500 0.500 0.500
0.175 0.175 0.575
0.175 0.575 0.175
0.175 0.575 0.575
0.425 0.425 0.825
0.425 0.825 0.425
0.425 0.825 0.825
0.575 0.175 0.175
0.575 0.175 0.575
0.575 0.575 0.175
0.825 0.425 0.425
0.825 0.425 0.825
0.825 0.825 0.425
```

Largest 8 diffraction maxima, by angle, 10° ≤ 2θ ≤ 90°:
2θ 15.1, rel. 193
2θ 24.9, rel. 143
2θ 29.2, rel. 1000
2θ 30.6, rel. 477
2θ 46.6, rel. 344
2θ 51.0, rel. 388
2θ 60.6, rel. 209
2θ 71.5, rel. 242

---

Record 10
Theoretical PXRD pattern
Compound: La2Pm5Tm2
Radiation: Cu Kα
Structure: the GGA-PBE geometry in Alexandria
Peak positions follow from Bragg's law for the DFT cell and can differ from measured ones.

Structure:
```
La2Pm5Tm2
1.0
11.129 -1.771 0.000
11.129 1.771 0.000
-1.483 0.000 8.214
La Pm Tm
2 5 2
Direct
0.176 0.176 0.148
0.824 0.824 0.852
0.000 0.000 0.000
0.093 0.093 0.735
0.310 0.310 0.462
0.690 0.690 0.538
0.907 0.907 0.265
0.452 0.452 0.641
0.548 0.548 0.359
```

Largest 8 diffraction maxima, by angle, 10° ≤ 2θ ≤ 90°:
2θ 27.4, rel. 471
2θ 28.0, rel. 391
2θ 29.3, rel. 692
2θ 29.4, rel. 727
2θ 32.3, rel. 591
2θ 32.6, rel. 655
2θ 34.2, rel. 724
2θ 35.5, rel. 1000

---

Record 11
Theoretical PXRD pattern
Compound: TaOF3
Radiation: Cu Kα
Structure: the GGA-PBE geometry in Alexandria
Peak positions follow from Bragg's law for the DFT cell and can differ from measured ones.

Structure:
```
TaOF3
1.0
-1.935 2.050 4.555
1.935 -2.050 4.555
1.935 2.050 -4.555
Ta O F
1 1 3
Direct
0.000 0.000 0.000
0.000 0.500 0.500
0.209 0.209 0.000
0.500 0.000 0.500
0.791 0.791 0.000
```

Largest 8 diffraction maxima, by angle, 10° ≤ 2θ ≤ 90°:
2θ 19.5, rel. 760
2θ 23.8, rel. 1000
2θ 25.0, rel. 942
2θ 31.8, rel. 457
2θ 37.6, rel. 420
2θ 39.6, rel. 210
2θ 51.4, rel. 266
2θ 53.3, rel. 223

---

Record 12
Theoretical PXRD pattern
Compound: Y3Ga4Ru4
Radiation: Cu Kα
Structure: the GGA-PBE geometry in Alexandria
Peak positions follow from Bragg's law for the DFT cell and can differ from measured ones.

Structure:
```
Y3Ga4Ru4
1.0
3.590 0.000 0.000
0.001 4.350 0.000
1.476 2.166 13.314
Y Ga Ru
3 4 4
Direct
0.000 0.000 0.000
0.116 0.645 0.710
0.884 0.355 0.290
0.360 0.811 0.380
0.460 0.450 0.100
0.540 0.550 0.900
0.640 0.189 0.620
0.195 0.257 0.488
0.425 0.906 0.189
0.575 0.094 0.811
0.805 0.743 0.512
```

Largest 8 diffraction maxima, by angle, 10° ≤ 2θ ≤ 90°:
2θ 33.9, rel. 271
2θ 34.8, rel. 1000
2θ 34.9, rel. 501
2θ 35.3, rel. 638
2θ 41.5, rel. 628
2θ 42.7, rel. 749
2θ 50.9, rel. 316
2θ 55.2, rel. 261